Starting from the GGA-PBE geometry in the Materials Project, the XRD peak list of K2ZnGe2O6 was simulated for λ = 1.5418 Å (Cu Kα).
Neutral-atom scattering factors, no anomalous dispersion.

Largest 10 diffraction maxima, sorted by position, 15° ≤ 2θ ≤ 90°:
Position (°2θ)  I (rel.)
18.2  100
28.6  35
29.3  89
30.2  20
30.4  68
31.4  29
36.8  36
37.2  20
41.2  18
61.1  27

a b c (Å): 5.927 5.927 11.065
angles (deg): 90.00 90.00 113.37
Fractional positions:
K 0.070 0.716 0.573
K 0.284 0.930 0.927
K 0.716 0.070 0.427
K 0.930 0.284 0.073
Zn 0.191 0.809 0.250
Zn 0.809 0.191 0.750
Ge 0.326 0.362 0.362
Ge 0.362 0.326 0.638
Ge 0.638 0.674 0.138
Ge 0.674 0.638 0.862
O 0.041 0.205 0.620
O 0.107 0.484 0.332
O 0.205 0.041 0.380
O 0.438 0.562 0.750
O 0.484 0.107 0.668
O 0.497 0.497 0.500
O 0.503 0.503 0.000
O 0.516 0.893 0.168
O 0.562 0.438 0.250
O 0.795 0.959 0.880
O 0.893 0.516 0.832
O 0.959 0.795 0.120

=====

Starting from the GGA-PBE geometry in the Materials Project, the XRD peak list of BrCl was simulated for λ = 1.5418 Å (Cu Kα).
Neutral-atom scattering factors, no anomalous dispersion.

Largest 10 diffraction maxima, sorted by position, 15° ≤ 2θ ≤ 90°:
Position (°2θ)  I (rel.)
18.6  11
23.4  32
25.2  100
36.8  22
37.7  11
41.1  27
48.8  15
53.8  15
57.0  18
65.6  12

a b c (Å): 4.395 4.395 9.537
angles (deg): 90.00 90.00 120.00
Fractional positions:
Br 0.333 0.667 0.000
Br 0.667 0.333 0.500
Cl 0.333 0.667 0.227
Cl 0.667 0.333 0.727

=====

Starting from the GGA-PBE geometry in the Materials Project, the XRD peak list of Sr2LiNb3O10 was simulated for λ = 1.5418 Å (Cu Kα).
Neutral-atom scattering factors, no anomalous dispersion.

Largest 10 diffraction maxima, sorted by position, 15° ≤ 2θ ≤ 90°:
Position (°2θ)  I (rel.)
24.3  15
27.7  100
31.7  63
32.1  67
39.6  25
45.4  48
51.5  32
54.0  30
56.7  28
61.8  25

a b c (Å): 3.994 3.994 13.958
angles (deg): 98.24 98.24 89.89
Fractional positions:
Sr 0.084 0.084 0.167
Sr 0.916 0.916 0.833
Li 0.753 0.247 0.500
Nb 0.341 0.336 0.677
Nb 0.509 0.491 0.000
Nb 0.664 0.659 0.323
O 0.019 0.453 0.000
O 0.149 0.643 0.292
O 0.275 0.270 0.545
O 0.357 0.851 0.708
O 0.432 0.422 0.854
O 0.547 0.981 0.000
O 0.578 0.568 0.146
O 0.651 0.145 0.296
O 0.730 0.725 0.455
O 0.855 0.349 0.704

=====

Starting from the GGA-PBE geometry in the Materials Project, the XRD peak list of Ti4Zn3SnO12 was simulated for λ = 1.5418 Å (Cu Kα).
Neutral-atom scattering factors, no anomalous dispersion.

Largest 10 diffraction maxima, sorted by position, 15° ≤ 2θ ≤ 90°:
Position (°2θ)  I (rel.)
16.2  6
28.2  4
32.7  100
40.4  21
47.0  42
58.4  37
68.6  23
78.1  16
82.7  6
87.3  8

a b c (Å): 6.703 6.703 6.703
angles (deg): 109.47 109.47 109.47
Fractional positions:
Ti 0.000 0.000 0.500
Ti 0.000 0.500 0.000
Ti 0.500 0.000 0.000
Ti 0.500 0.500 0.500
Zn 0.000 0.500 0.500
Zn 0.500 0.000 0.500
Zn 0.500 0.500 0.000
Sn 0.000 0.000 0.000
O 0.000 0.251 0.749
O 0.000 0.749 0.251
O 0.251 0.000 0.749
O 0.251 0.251 0.503
O 0.251 0.503 0.251
O 0.251 0.749 0.000
O 0.497 0.749 0.749
O 0.503 0.251 0.251
O 0.749 0.000 0.251
O 0.749 0.251 0.000
O 0.749 0.497 0.749
O 0.749 0.749 0.497

=====

Starting from the GGA-PBE geometry in the Materials Project, the XRD peak list of Ti3H3Au was simulated for λ = 1.5418 Å (Cu Kα).
Neutral-atom scattering factors, no anomalous dispersion.

Largest 10 diffraction maxima, sorted by position, 15° ≤ 2θ ≤ 90°:
Position (°2θ)  I (rel.)
23.7  76
33.8  45
37.9  18
41.7  100
48.6  12
54.7  18
65.9  51
76.2  11
81.1  14
86.0  13

a b c (Å): 5.302 5.302 5.302
angles (deg): 90.00 90.00 90.00
Fractional positions:
Ti 0.000 0.250 0.500
Ti 0.000 0.750 0.500
Ti 0.250 0.500 0.000
Ti 0.500 0.000 0.250
Ti 0.500 0.000 0.750
Ti 0.750 0.500 0.000
H 0.000 0.500 0.250
H 0.000 0.500 0.750
H 0.250 0.000 0.500
H 0.500 0.250 0.000
H 0.500 0.750 0.000
H 0.750 0.000 0.500
Au 0.000 0.000 0.000
Au 0.500 0.500 0.500

=====

Starting from the GGA-PBE geometry in the Materials Project, the XRD peak list of Al2Si2H4O9 was simulated for λ = 1.5418 Å (Cu Kα).
Neutral-atom scattering factors, no anomalous dispersion.

Largest 10 diffraction maxima, sorted by position, 15° ≤ 2θ ≤ 90°:
Position (°2θ)  I (rel.)
19.6  31
20.2  89
21.0  87
21.3  37
22.9  61
24.7  100
26.2  36
37.9  39
38.1  43
38.8  47

a b c (Å): 5.213 7.479 9.052
angles (deg): 88.21 89.73 75.03
Fractional positions:
Al 0.000 0.000 0.000
Al 0.004 0.001 0.664
Al 0.496 0.004 0.500
Al 0.507 0.998 0.164
Si 0.202 0.383 0.009
Si 0.218 0.384 0.337
Si 0.703 0.386 0.508
Si 0.717 0.383 0.837
H 0.250 0.751 0.485
H 0.258 0.743 0.169
H 0.261 0.744 0.839
H 0.340 0.163 0.729
H 0.745 0.751 0.675
H 0.756 0.745 0.988
H 0.765 0.746 0.343
H 0.849 0.148 0.232
O 0.161 0.873 0.835
O 0.207 0.478 0.170
O 0.244 0.869 0.529
O 0.247 0.871 0.140
O 0.251 0.154 0.636
O 0.257 0.160 0.024
O 0.328 0.161 0.332
O 0.410 0.480 0.434
O 0.414 0.453 0.901
O 0.661 0.874 0.337
O 0.705 0.479 0.671
O 0.741 0.876 0.641
O 0.748 0.864 0.029
O 0.755 0.163 0.523
O 0.757 0.148 0.138
O 0.829 0.160 0.833
O 0.908 0.477 0.936
O 0.917 0.456 0.403